This entry pairs a crystal structure of LaPm2Ho2Tm2 with its calculated X-ray powder pattern. Radiation: Cu Ka. Structure: DFT lattice parameters and positions (PBE).

Cell and atoms:
```
LaPm2Ho2Tm2
1.0
16.735 0.000 0.000
0.000 3.546 0.000
-4.191 0.000 7.684
La Pm Ho Tm
2 4 4 4
Cartesian
0.000 0.000 0.000 La
8.368 1.773 0.000 La
2.227 1.773 2.221 Pm
1.949 0.000 5.462 Pm
10.595 0.000 2.221 Pm
10.316 1.773 5.462 Pm
-0.624 0.000 3.333 Ho
4.801 1.773 4.351 Ho
7.743 1.773 3.333 Ho
13.168 0.000 4.351 Ho
-1.152 1.773 6.384 Tm
5.328 0.000 1.300 Tm
7.215 0.000 6.384 Tm
13.696 1.773 1.300 Tm
```

Main lines, low angle first (10° ≤ 2θ ≤ 90°):
2theta  I (rel.)
30.00  73
31.01  100
31.14  89
31.60  92
32.63  90
32.90  88
48.22  36
57.98  34

This entry pairs a crystal structure of TlIn8Ag4 with its calculated X-ray powder pattern. Radiation: Cu Ka. Structure: DFT lattice parameters and positions (PBE).

Cell and atoms:
```
TlIn8Ag4
1.0
-5.173 5.173 2.921
5.173 -5.173 2.921
5.173 5.173 -2.921
Tl In Ag
1 8 4
Cartesian
0.000 0.000 0.000 Tl
3.588 0.000 0.000 In
6.757 0.000 0.000 In
5.173 2.956 0.000 In
0.000 3.588 0.000 In
2.956 5.173 0.000 In
2.217 0.000 2.921 In
0.000 6.757 0.000 In
0.000 2.217 2.921 In
2.586 2.586 -1.460 Ag
2.586 -2.586 1.460 Ag
-2.586 2.586 1.460 Ag
2.586 2.586 1.460 Ag
```

Main lines, low angle first (10° ≤ 2θ ≤ 90°):
2theta  I (rel.)
30.09  49
34.68  61
34.84  100
35.29  67
38.93  25
39.48  50
62.26  25
62.56  29

This entry pairs a crystal structure of AlTlCu2S4 with its calculated X-ray powder pattern. Radiation: Cu Ka. Structure: DFT lattice parameters and positions (PBE).

Cell and atoms:
```
AlTlCu2S4
1.0
5.544 0.000 0.000
0.000 5.544 0.000
0.000 0.000 10.792
Al Tl Cu S
2 2 4 8
Cartesian
0.000 0.000 0.000 Al
2.772 2.772 5.396 Al
0.000 0.000 5.396 Tl
2.772 2.772 0.000 Tl
0.000 2.772 2.698 Cu
0.000 2.772 8.094 Cu
2.772 0.000 2.698 Cu
2.772 0.000 8.094 Cu
1.243 1.243 1.465 S
1.243 4.302 9.327 S
1.530 1.530 6.861 S
1.530 4.015 3.931 S
4.015 1.530 3.931 S
4.015 4.015 6.861 S
4.302 1.243 9.327 S
4.302 4.302 1.465 S
```

Main lines, low angle first (10° ≤ 2θ ≤ 90°):
2theta  I (rel.)
17.99  45
28.14  100
29.60  21
37.21  22
46.32  19
47.00  37
55.08  29
56.27  14

This entry pairs a crystal structure of CaIn3Hg4Pb2 with its calculated X-ray powder pattern. Radiation: Cu Ka. Structure: DFT lattice parameters and positions (PBE).

Cell and atoms:
```
CaIn3Hg4Pb2
1.0
4.521 0.000 0.000
0.000 4.521 0.000
0.000 0.000 14.128
Ca In Hg Pb
1 3 4 2
Cartesian
0.000 0.000 0.000 Ca
0.000 2.261 4.976 In
2.261 0.000 9.152 In
2.261 2.261 0.000 In
0.000 0.000 7.064 Hg
0.000 2.261 2.114 Hg
2.261 0.000 12.014 Hg
2.261 2.261 7.064 Hg
0.000 2.261 10.918 Pb
2.261 0.000 3.209 Pb
```

Main lines, low angle first (10° ≤ 2θ ≤ 90°):
2theta  I (rel.)
18.84  19
27.35  35
30.70  100
37.54  40
37.96  24
39.88  49
55.91  30
66.75  22

This entry pairs a crystal structure of KPaAg2Se4 with its calculated X-ray powder pattern. Radiation: Cu Ka. Structure: DFT lattice parameters and positions (PBE).

Cell and atoms:
```
KPaAg2Se4
1.0
7.012 0.000 0.000
0.000 7.784 0.000
0.000 0.000 8.584
K Pa Ag Se
2 2 4 8
Cartesian
0.000 0.000 0.000 K
3.506 3.892 4.292 K
0.000 0.000 4.292 Pa
3.506 3.892 0.000 Pa
0.000 3.892 1.445 Ag
0.000 3.892 7.139 Ag
3.506 0.000 2.847 Ag
3.506 0.000 5.737 Ag
1.497 1.614 2.740 Se
1.497 6.171 5.844 Se
2.009 2.279 7.033 Se
2.009 5.506 1.552 Se
5.003 2.279 1.552 Se
5.003 5.506 7.033 Se
5.515 1.614 5.844 Se
5.515 6.171 2.740 Se
```

Main lines, low angle first (10° ≤ 2θ ≤ 90°):
2theta  I (rel.)
15.37  100
26.91  96
29.83  32
34.43  72
41.22  36
42.71  29
44.71  20
45.72  51

This entry pairs a crystal structure of TbPr2Nd4Ho with its calculated X-ray powder pattern. Radiation: Cu Ka. Structure: DFT lattice parameters and positions (PBE).

Cell and atoms:
```
TbPr2Nd4Ho
1.0
5.162 0.000 0.000
0.000 5.184 0.000
-0.027 0.000 10.318
Tb Pr Nd Ho
1 2 4 1
Cartesian
0.000 0.000 0.000 Tb
-0.014 0.000 5.159 Pr
2.581 2.592 0.000 Pr
-0.005 2.592 2.592 Nd
5.140 2.592 7.726 Nd
2.574 0.000 2.580 Nd
2.561 0.000 7.737 Nd
2.567 2.592 5.159 Ho
```

Main lines, low angle first (10° ≤ 2θ ≤ 90°):
2theta  I (rel.)
29.95  100
34.61  17
34.77  34
49.88  30
59.16  15
59.36  22
81.04  9
83.74  8